Starting from the PBE+U geometry in Alexandria, the PXRD pattern of Sr4MgMn2Cu3S4O4 was computed for copper Kα.
Intensities are scaled so that the largest is 100.

Main lines, low angle first (10° ≤ 2θ ≤ 90°):
d/Å  Position (°2θ)  intensity  (hkl)
2.767  32.35  72  1 5 -1
2.623  34.18  100  1 5 1
2.512  35.74  56  0 4 2
2.478  36.25  51  2 4 0
2.336  38.55  50  2 0 -2
2.032  44.60  57  2 0 2

Crystal structure
Unit cell a=6.1287 b=17.1735 c=6.2556 alpha=90.00 beta=97.96 gamma=90.00
Space group C2 (No. 5)
Unique sites:
Sr 0.1730 0.0000 0.3024 [4 per cell]
Sr 0.2438 0.3038 0.7692 [4 per cell]
Mg 0.0000 0.5024 0.0000 [2 per cell]
Mn 0.2451 0.3769 0.2647 [4 per cell]
Cu 0.0000 0.1558 0.5000 [2 per cell]
Cu 0.0000 0.6596 0.0000 [2 per cell]
Cu 0.0000 0.6644 0.5000 [2 per cell]
S 0.2261 0.5853 0.2722 [4 per cell]
S 0.2303 0.7289 0.7680 [4 per cell]
O 0.0000 0.3908 0.0000 [2 per cell]
O 0.0000 0.3912 0.5000 [2 per cell]
O 0.0000 0.9051 0.5000 [2 per cell]
O 0.0000 0.9083 0.0000 [2 per cell]